# K2Hg2BiAs
Theoretical powder XRD pattern, copper Kα. Input: a structure optimized by DFT (GGA-PBE).

Most intense lines, 10 to 90 degrees two-theta, most intense first:
two_theta, intensity, (hkl)
27.3, 100, 1 0 2
17.2, 92, 0 0 2
41.0, 82, 1 1 2
36.9, 70, 1 1 0
51.6, 53, 1 1 4
21.0, 37, 1 0 0
34.8, 27, 0 0 4
46.5, 23, 2 0 2

Structural model:
Cell lengths 4.8736, 4.8736, 10.3171 Å; angles 90.00, 90.00, 120.00 degrees
Space group P-6m2 (No. 187)
Unique sites:
1 K 0.0000 0.0000 0.2338 (multiplicity 2)
2 Hg 0.3333 0.6667 0.5000 (multiplicity 1)
3 Hg 0.6667 0.3333 0.0000 (multiplicity 1)
4 Bi 0.6667 0.3333 0.5000 (multiplicity 1)
5 As 0.3333 0.6667 0.0000 (multiplicity 1)